For Na2NpCu2O6, the GGA-PBE geometry in Alexandria gives the computed XRD peak list in this record (λ = 1.5418 Å (Cu Kα)).
Lines closer than 0.1° are merged.

Largest 8 diffraction maxima, in order of falling intensity, 2θ from 10° to 90°:
| (hkl) | Position (°2θ) | d/Å | I/Imax |
| --- | --- | --- | --- |
| 0 0 1 | 15.7 | 5.641 | 100 |
| 2 -1 1 | 37.3 | 2.411 | 70 |
| 2 -1 2 | 46.9 | 1.938 | 64 |
| 1 0 1 | 24.9 | 3.574 | 57 |
| 1 1 0 | 33.6 | 2.667 | 53 |
| 1 0 0 | 19.2 | 4.620 | 28 |
| 3 0 1 | 62.5 | 1.485 | 21 |
| 1 1 3 | 60.2 | 1.537 | 18 |

Atomic structure:
```
Na2NpCu2O6
1.0
5.3346 0.0000 0.0000
-2.6673 4.6199 0.0000
0.0000 0.0000 5.6412
Na Np Cu O
2 1 2 6
Direct
0.3333 0.6667 0.0000
0.6667 0.3333 0.0000
0.0000 0.0000 0.5000
0.3333 0.6667 0.5000
0.6667 0.3333 0.5000
0.0000 0.3280 0.7038
0.0000 0.6720 0.2962
0.3280 0.0000 0.7038
0.3280 0.3280 0.2962
0.6720 0.0000 0.2962
0.6720 0.6720 0.7038
```